Simulated powder diffraction line list
Compound: KFeS2O9
Radiation: Cu Kα
Structure: DFT lattice parameters and positions (GGA+U)

The 6 most intense peaks (2θ = 10–80°), low angle first:
10.6 deg, I 79, (1 0 0); 19.9 deg, I 35, (0 0 2); 22.3 deg, I 64, (1 0 -2); 22.5 deg, I 100, (1 1 1); 29.0 deg, I 45, (2 1 -1); 29.3 deg, I 77, (2 1 1)

```
data_KFeS2O9
_cell_length_a 8.348
_cell_length_b 5.226
_cell_length_c 8.939
_cell_angle_alpha 90.00
_cell_angle_beta 91.39
_cell_angle_gamma 90.00
_symmetry_space_group_name_H-M 'P 1 21/m 1'
_symmetry_Int_Tables_number 11
_symmetry_space_group_name_Hall '-P 2yb'
loop_
_atom_site_label
_atom_site_fract_x
_atom_site_fract_y
_atom_site_fract_z
K1 0.032 0.250 0.224
Fe1 0.499 0.750 0.760
S1 0.243 0.250 0.649
S2 0.306 0.750 0.093
O1 0.069 0.250 0.645
O2 0.141 0.750 0.035
O3 0.277 0.250 0.470
O4 0.312 0.017 0.715
O5 0.332 0.518 0.190
O6 0.427 0.750 0.974
O7 0.449 0.250 0.448
```